1.
Simulated PXRD pattern
Compound: Li2Mn3B3O9
Radiation: Cu Kα (weighted mean of Kα1 and Kα2)
Structure: DFT lattice parameters and positions (PBE+U)

Atomic structure:
```
Li2Mn3B3O9
1.0
6.206 0.000 0.000
-1.382 7.699 0.000
-2.737 -3.536 7.925
Li Mn B O
4 6 6 18
direct
0.000 0.000 0.000
0.012 0.670 0.567
0.333 0.335 0.676
0.651 0.682 0.334
0.036 0.635 0.211
0.295 0.387 0.008
0.395 0.978 0.900
0.607 0.705 0.667
0.703 0.285 0.556
0.963 0.055 0.340
0.054 0.634 0.885
0.279 0.367 0.330
0.350 0.973 0.564
0.615 0.711 0.001
0.711 0.319 0.237
0.957 0.035 0.668
0.047 0.510 0.970
0.088 0.106 0.841
0.115 0.191 0.229
0.184 0.820 0.977
0.191 0.917 0.395
0.325 0.497 0.257
0.327 0.841 0.636
0.405 0.420 0.501
0.457 0.531 0.903
0.510 0.149 0.653
0.538 0.261 0.076
0.664 0.835 0.925
0.718 0.184 0.308
0.741 0.770 0.173
0.808 0.852 0.574
0.854 0.503 0.328
0.910 0.565 0.714
0.994 0.156 0.586
```

Largest 6 diffraction maxima, in order of rising 2θ, 10 to 90 degrees two-theta:
- 20.07 deg, d = 4.423 Å, I = 100.0
- 21.88 deg, d = 4.063 Å, I = 44.3
- 22.62 deg, d = 3.931 Å, I = 65.6
- 33.94 deg, d = 2.641 Å, I = 54.7
- 34.15 deg, d = 2.625 Å, I = 76.8
- 40.66 deg, d = 2.219 Å, I = 29.5

=====

2.
Simulated PXRD pattern
Compound: LiMn2B2O6
Radiation: Cu Kα (weighted mean of Kα1 and Kα2)
Structure: DFT lattice parameters and positions (PBE+U)

Atomic structure:
```
LiMn2B2O6
1.0
5.351 0.000 0.000
-0.095 9.072 0.000
-2.136 -4.426 10.205
Li Mn B O
4 8 8 24
direct
0.000 0.000 0.000
0.110 0.384 0.738
0.344 0.603 0.244
0.751 0.767 0.487
0.013 0.330 0.971
0.060 0.714 0.703
0.248 0.902 0.464
0.302 0.259 0.222
0.491 0.784 0.948
0.581 0.165 0.718
0.754 0.408 0.459
0.822 0.795 0.206
0.015 0.662 0.948
0.038 0.039 0.705
0.266 0.563 0.456
0.283 0.910 0.195
0.502 0.131 0.957
0.564 0.509 0.707
0.755 0.068 0.457
0.814 0.457 0.223
0.028 0.590 0.494
0.045 0.422 0.180
0.113 0.522 0.926
0.114 0.781 0.912
0.153 0.032 0.189
0.196 0.803 0.245
0.274 0.020 0.671
0.276 0.169 0.003
0.363 0.415 0.431
0.397 0.685 0.443
0.457 0.379 0.713
0.465 0.661 0.760
0.504 0.871 0.144
0.565 0.066 0.525
0.611 0.233 0.907
0.628 0.004 0.963
0.692 0.585 0.217
0.705 0.353 0.270
0.787 0.508 0.654
0.808 0.705 0.011
0.844 0.912 0.398
0.856 0.195 0.446
0.885 0.906 0.681
0.958 0.194 0.752
```

Largest 6 diffraction maxima, in order of rising 2θ, 10 to 90 degrees two-theta:
- 19.57 deg, d = 4.536 Å, I = 98.6
- 21.36 deg, d = 4.159 Å, I = 77.7
- 21.63 deg, d = 4.109 Å, I = 47.0
- 25.51 deg, d = 3.492 Å, I = 71.6
- 34.23 deg, d = 2.619 Å, I = 39.3
- 35.17 deg, d = 2.551 Å, I = 100.0

=====

3.
Simulated PXRD pattern
Compound: LiMn2B2O6
Radiation: Cu Kα (weighted mean of Kα1 and Kα2)
Structure: DFT lattice parameters and positions (PBE+U)

Atomic structure:
```
LiMn2B2O6
1.0
5.789 0.000 0.000
1.919 8.923 0.000
1.556 1.041 9.612
Li Mn B O
4 8 8 24
direct
0.000 0.000 0.000
0.083 0.065 0.574
0.337 0.559 0.320
0.841 0.565 0.821
0.024 0.715 0.552
0.066 0.351 0.016
0.292 0.214 0.289
0.322 0.829 0.756
0.531 0.746 0.050
0.558 0.327 0.517
0.763 0.228 0.813
0.793 0.844 0.276
0.021 0.394 0.558
0.058 0.685 0.006
0.264 0.899 0.316
0.300 0.165 0.768
0.524 0.416 0.057
0.556 0.659 0.507
0.782 0.898 0.800
0.822 0.165 0.251
0.096 0.192 0.870
0.098 0.568 0.930
0.138 0.780 0.353
0.202 0.381 0.447
0.211 0.793 0.983
0.213 0.023 0.387
0.336 0.050 0.690
0.346 0.694 0.600
0.398 0.300 0.098
0.450 0.879 0.209
0.454 0.269 0.745
0.471 0.540 0.128
0.595 0.543 0.431
0.611 0.197 0.344
0.658 0.779 0.843
0.705 0.399 0.945
0.710 0.762 0.493
0.743 0.016 0.880
0.853 0.720 0.101
0.876 0.044 0.180
0.898 0.274 0.602
0.956 0.886 0.686
0.964 0.516 0.635
0.975 0.269 0.232
```

Largest 6 diffraction maxima, in order of rising 2θ, 10 to 90 degrees two-theta:
- 20.02 deg, d = 4.435 Å, I = 100.0
- 21.96 deg, d = 4.047 Å, I = 48.6
- 22.76 deg, d = 3.907 Å, I = 63.7
- 33.84 deg, d = 2.649 Å, I = 31.1
- 34.81 deg, d = 2.577 Å, I = 64.3
- 37.40 deg, d = 2.405 Å, I = 33.5